No. 1
BaSrFe: theoretical X-ray diffraction stick pattern (Cu Kα X-rays), based on a DFT-relaxed cell (GGA-PBE, Alexandria).

Atomic structure:
a = 3.950 Å, b = 3.950 Å, c = 14.548 Å
α = 90.00°, β = 90.00°, γ = 90.00°
Sites, in units of the cell vectors:
Ba1 0.000 0.000 0.000
Ba2 0.500 0.500 0.500
Sr1 0.000 0.000 0.256
Sr2 0.500 0.500 0.756
Fe1 0.000 0.000 0.633
Fe2 0.500 0.500 0.133

The 10 most intense peaks (10° ≤ 2θ ≤ 90°), by angle:
h k l	d (Å)	Rel. int.
1 0 1	3.812	33
0 0 4	3.637	20
1 0 3	3.062	100
1 1 0	2.793	60
1 0 5	2.343	37
1 1 4	2.215	20
2 0 0	1.975	21
2 1 3	1.660	32
1 1 8	1.524	18
2 1 5	1.510	18

---

No. 2
AcTmGaPt: theoretical X-ray diffraction stick pattern (Cu Kα X-rays), based on a DFT-relaxed cell (GGA-PBE, Alexandria).

Atomic structure:
a = 7.382 Å, b = 7.382 Å, c = 7.382 Å
α = 90.00°, β = 90.00°, γ = 90.00°
Sites, in units of the cell vectors:
Ac1 0.000 0.000 0.000
Ac2 0.000 0.500 0.500
Ac3 0.500 0.000 0.500
Ac4 0.500 0.500 0.000
Tm1 0.000 0.000 0.500
Tm2 0.000 0.500 0.000
Tm3 0.500 0.000 0.000
Tm4 0.500 0.500 0.500
Ga1 0.250 0.250 0.750
Ga2 0.250 0.750 0.250
Ga3 0.750 0.250 0.250
Ga4 0.750 0.750 0.750
Pt1 0.250 0.250 0.250
Pt2 0.250 0.750 0.750
Pt3 0.750 0.250 0.750
Pt4 0.750 0.750 0.250

The 10 most intense peaks (10° ≤ 2θ ≤ 90°), by angle:
h k l	d (Å)	Rel. int.
1 1 1	4.262	9
2 0 0	3.691	4
2 2 0	2.610	100
3 1 1	2.226	5
4 0 0	1.845	18
3 3 1	1.694	2
4 2 0	1.651	2
4 2 2	1.507	38
4 4 0	1.305	12
6 2 0	1.167	17